Record 1
Starting from a DFT-relaxed cell (GGA-PBE, Alexandria), the X-ray powder pattern of LaCo was calculated for Cu Kα X-rays.

Top 10 peaks for 2θ = 5–70°, low angle first:
h k l, two_theta, intensity
1 3 0, 26.91, 42
0 4 1, 29.91, 54
0 6 0, 30.70, 30
1 1 1, 31.57, 100
1 5 1, 40.67, 44
0 0 2, 44.25, 25
2 0 0, 44.99, 24
1 7 1, 48.31, 21
1 9 0, 52.31, 16
2 4 1, 54.97, 19

Crystal structure
```
data_LaCo
_chemical_formula_sum 'La6 Co6'
_symmetry_space_group_name_H-M 'C m m m'
_symmetry_Int_Tables_number 65
_symmetry_space_group_name_Hall '-C 2 2'
_cell_length_a 4.0298
_cell_length_b 17.4709
_cell_length_c 4.0940
_cell_angle_alpha 90.00
_cell_angle_beta 90.00
_cell_angle_gamma 90.00
loop_
_atom_site_label
_atom_site_type_symbol
_atom_site_fract_x
_atom_site_fract_y
_atom_site_fract_z
La1 La 0.0000 0.0000 0.0000
La2 La 0.0000 0.3434 0.5000
Co1 Co 0.0000 0.2215 0.0000
Co2 Co 0.0000 0.5000 0.5000
```


Record 2
Starting from a DFT-relaxed cell (GGA-PBE, Alexandria), the X-ray powder pattern of Na6B7C5 was calculated for Cu Kα X-rays.

Top 7 peaks for 2θ = 5–70°, low angle first:
h k l, two_theta, intensity
0 0 6, 20.98, 1
1 0 0, 36.42, 18
1 0 6, 42.41, 100
0 0 12, 42.71, 25
1 0 12, 57.35, 10
1 1 0, 65.55, 17
1 1 6, 69.66, 1

Crystal structure
```
data_Na6B7C5
_chemical_formula_sum 'Na6 B7 C5'
_symmetry_space_group_name_H-M 'P -6 m 2'
_symmetry_Int_Tables_number 187
_symmetry_space_group_name_Hall 'P -6 2'
_cell_length_a 2.8482
_cell_length_b 2.8482
_cell_length_c 25.4057
_cell_angle_alpha 90.00
_cell_angle_beta 90.00
_cell_angle_gamma 120.00
loop_
_atom_site_label
_atom_site_type_symbol
_atom_site_fract_x
_atom_site_fract_y
_atom_site_fract_z
Na1 Na 0.0000 0.0000 0.0827
Na2 Na 0.0000 0.0000 0.2482
Na3 Na 0.0000 0.0000 0.4147
B1 B 0.3333 0.6667 0.0000
B2 B 0.3333 0.6667 0.3309
B3 B 0.3333 0.6667 0.5000
B4 B 0.6667 0.3333 0.1654
B5 B 0.6667 0.3333 0.5000
C1 C 0.3333 0.6667 0.1653
C2 C 0.6667 0.3333 0.0000
C3 C 0.6667 0.3333 0.3307
```


Record 3
Starting from a DFT-relaxed cell (GGA-PBE, Alexandria), the X-ray powder pattern of NpScO5 was calculated for Cu Kα X-rays.

Top 10 peaks for 2θ = 5–70°, low angle first:
h k l, two_theta, intensity
0 1 1, 17.07, 100
0 0 2, 21.55, 76
1 0 1, 25.95, 32
0 2 0, 26.65, 48
1 1 0, 27.11, 76
0 2 2, 34.52, 30
1 1 2, 34.90, 46
1 2 1, 37.54, 44
1 3 0, 47.34, 22
1 1 4, 52.38, 24

Crystal structure
```
data_NpScO5
_chemical_formula_sum 'Np2 Sc2 O10'
_symmetry_space_group_name_H-M 'I m m m'
_symmetry_Int_Tables_number 71
_symmetry_space_group_name_Hall '-I 2 2'
_cell_length_a 3.7763
_cell_length_b 6.6910
_cell_length_c 8.2465
_cell_angle_alpha 90.00
_cell_angle_beta 90.00
_cell_angle_gamma 90.00
loop_
_atom_site_label
_atom_site_type_symbol
_atom_site_fract_x
_atom_site_fract_y
_atom_site_fract_z
Np1 Np 0.0000 0.0000 0.0000
Sc1 Sc 0.0000 0.0000 0.5000
O1 O 0.0000 0.0000 0.2214
O2 O 0.0000 0.3196 0.5000
O3 O 0.0000 0.5000 0.0000
```


Record 4
Starting from a DFT-relaxed cell (GGA-PBE, Alexandria), the X-ray powder pattern of Fe4Ni12Ir was calculated for Cu Kα X-rays.

Top 10 peaks for 2θ = 5–70°, low angle first:
h k l, two_theta, intensity
1 1 0, 16.81, 22
2 0 0, 23.86, 37
2 1 1, 29.33, 23
2 2 0, 33.99, 27
3 1 0, 38.15, 48
2 2 2, 41.95, 93
3 2 1, 45.49, 74
4 0 0, 48.83, 100
3 3 0, 52.01, 26
3 3 2, 57.99, 43

Crystal structure
```
data_Fe4Ni12Ir
_chemical_formula_sum 'Fe8 Ni24 Ir2'
_symmetry_space_group_name_H-M 'I m -3 m'
_symmetry_Int_Tables_number 229
_symmetry_space_group_name_Hall '-I 4 2 3'
_cell_length_a 7.4600
_cell_length_b 7.4600
_cell_length_c 7.4600
_cell_angle_alpha 90.00
_cell_angle_beta 90.00
_cell_angle_gamma 90.00
loop_
_atom_site_label
_atom_site_type_symbol
_atom_site_fract_x
_atom_site_fract_y
_atom_site_fract_z
Fe1 Fe 0.2500 0.2500 0.2500
Ni1 Ni 0.0000 0.0000 0.3098
Ni2 Ni 0.0000 0.2500 0.5000
Ir1 Ir 0.0000 0.0000 0.0000
```


Record 5
Starting from a DFT-relaxed cell (GGA-PBE, Alexandria), the X-ray powder pattern of Ho2Zn5Pt5 was calculated for Cu Kα X-rays.

Top 10 peaks for 2θ = 5–70°, low angle first:
h k l, two_theta, intensity
0 1 1, 19.53, 15
1 0 0, 20.33, 22
0 1 3, 33.90, 29
0 2 0, 34.30, 24
1 1 3, 39.85, 100
1 2 0, 40.20, 33
2 0 0, 41.34, 35
1 2 2, 44.96, 17
2 1 3, 54.49, 15
1 3 3, 65.17, 24

Crystal structure
```
data_Ho2Zn5Pt5
_chemical_formula_sum 'Ho2 Zn5 Pt5'
_symmetry_space_group_name_H-M 'P m m m'
_symmetry_Int_Tables_number 47
_symmetry_space_group_name_Hall '-P 2 2'
_cell_length_a 4.3679
_cell_length_b 5.2285
_cell_length_c 9.1961
_cell_angle_alpha 90.00
_cell_angle_beta 90.00
_cell_angle_gamma 90.00
loop_
_atom_site_label
_atom_site_type_symbol
_atom_site_fract_x
_atom_site_fract_y
_atom_site_fract_z
Ho1 Ho 0.0000 0.0000 0.0000
Ho2 Ho 0.0000 0.5000 0.5000
Zn1 Zn 0.5000 0.0000 0.5000
Zn2 Zn 0.5000 0.2508 0.2509
Pt1 Pt 0.0000 0.0000 0.3331
Pt2 Pt 0.0000 0.5000 0.1781
Pt3 Pt 0.5000 0.5000 0.0000
```


Record 6
Starting from a DFT-relaxed cell (GGA-PBE, Alexandria), the X-ray powder pattern of Pr2DyPd4 was calculated for Cu Kα X-rays.

Top 10 peaks for 2θ = 5–70°, low angle first:
h k l, two_theta, intensity
0 0 2, 11.52, 45
0 2 0, 21.06, 54
1 1 3, 25.25, 24
0 2 4, 31.50, 30
1 1 5, 34.52, 62
0 0 6, 35.04, 36
2 2 0, 36.94, 100
0 4 0, 42.88, 33
1 3 5, 46.35, 27
2 2 6, 51.83, 47

Crystal structure
```
data_Pr2DyPd4
_chemical_formula_sum 'Pr8 Dy4 Pd16'
_symmetry_space_group_name_H-M 'F m m m'
_symmetry_Int_Tables_number 69
_symmetry_space_group_name_Hall '-F 2 2'
_cell_length_a 5.9580
_cell_length_b 8.4365
_cell_length_c 15.3634
_cell_angle_alpha 90.00
_cell_angle_beta 90.00
_cell_angle_gamma 90.00
loop_
_atom_site_label
_atom_site_type_symbol
_atom_site_fract_x
_atom_site_fract_y
_atom_site_fract_z
Pr1 Pr 0.0000 0.0000 0.1361
Dy1 Dy 0.0000 0.0000 0.5000
Pd1 Pd 0.0000 0.0000 0.3225
Pd2 Pd 0.2500 0.2500 0.0000
```


Record 7
Starting from a DFT-relaxed cell (GGA-PBE, Alexandria), the X-ray powder pattern of TaSbBr was calculated for Cu Kα X-rays.

Top 10 peaks for 2θ = 5–70°, low angle first:
h k l, two_theta, intensity
0 0 1, 11.09, 100
1 1 -1, 31.10, 22
2 0 0, 33.73, 22
1 1 1, 33.87, 33
1 1 -2, 35.58, 40
1 1 2, 40.42, 34
2 0 -3, 42.16, 15
0 0 4, 45.48, 14
0 2 0, 51.98, 18
3 1 -1, 56.97, 16

Crystal structure
```
data_TaSbBr
_chemical_formula_sum 'Ta2 Sb2 Br2'
_symmetry_space_group_name_H-M 'C 1 m 1'
_symmetry_Int_Tables_number 8
_symmetry_space_group_name_Hall 'C -2y'
_cell_length_a 5.4592
_cell_length_b 3.5209
_cell_length_c 8.2004
_cell_angle_alpha 90.00
_cell_angle_beta 103.39
_cell_angle_gamma 90.00
loop_
_atom_site_label
_atom_site_type_symbol
_atom_site_fract_x
_atom_site_fract_y
_atom_site_fract_z
Ta1 Ta 0.0000 0.0000 0.0000
Sb1 Sb 0.0547 0.5000 0.7251
Br1 Br 0.2369 0.5000 0.2318
```